The following is a theoretical powder XRD pattern of Li5NpS5. It was derived from a crystal structure in Alexandria, relaxed with PBE, using Cu Ka.
No peak broadening, texture or thermal motion is included.

Cell and atoms:
```
Li5NpS5
1.0
6.049 -2.609 0.000
6.049 2.609 0.000
-2.487 0.000 6.918
Li Np S
5 1 5
Direct
0.000 0.000 0.000
0.308 0.308 0.181
0.311 0.311 0.632
0.689 0.689 0.368
0.692 0.692 0.819
0.000 0.000 0.500
0.150 0.150 0.319
0.167 0.167 0.828
0.500 0.500 0.500
0.833 0.833 0.172
0.850 0.850 0.681
```

Largest 6 diffraction maxima, in order of falling intensity, 2θ = 10–90°:
2θ (°)  I (rel.)
12.80  100
18.71  93
16.48  57
33.32  47
15.57  36
21.17  34